No. 1
Starting from DFT lattice parameters and positions (PBE), the PXRD pattern of KAuI4O12 was computed for Cu Kα.

Cell and atoms:
Unit cell a=5.957 b=7.448 c=8.226 alpha=104.88 beta=94.13 gamma=112.53
Sites, in units of the cell vectors:
K 0.000 0.000 0.000
Au 0.229 0.996 0.486
I 0.309 0.637 0.180
I 0.314 0.695 0.703
I 0.617 0.348 0.859
I 0.694 0.298 0.349
O 0.027 0.400 0.111
O 0.081 0.769 0.591
O 0.123 0.796 0.249
O 0.171 0.692 0.892
O 0.295 0.203 0.718
O 0.357 0.222 0.377
O 0.435 0.643 0.390
O 0.491 0.331 0.053
O 0.573 0.946 0.777
O 0.629 0.598 0.866
O 0.683 0.050 0.237
O 0.833 0.333 0.566

The 10 most intense peaks (10° ≤ 2θ ≤ 90°), by intensity:
d = 3.502 Å, intensity 100
d = 5.410 Å, intensity 83
d = 3.267 Å, intensity 49
d = 3.524 Å, intensity 40
d = 2.972 Å, intensity 38
d = 3.005 Å, intensity 37
d = 2.182 Å, intensity 24
d = 4.391 Å, intensity 20
d = 4.591 Å, intensity 19
d = 2.051 Å, intensity 18

No. 2
Starting from DFT lattice parameters and positions (PBE), the PXRD pattern of Tm3Si4Pd7 was computed for Cu Kα.

Cell and atoms:
Unit cell a=7.981 b=7.981 c=9.360 alpha=123.79 beta=123.79 gamma=29.12
Sites, in units of the cell vectors:
Tm 0.000 0.000 0.000
Tm 0.326 0.326 0.328
Tm 0.674 0.674 0.672
Si 0.110 0.110 0.827
Si 0.335 0.335 0.732
Si 0.665 0.665 0.268
Si 0.890 0.890 0.173
Pd 0.000 0.000 0.500
Pd 0.170 0.170 0.422
Pd 0.306 0.306 0.964
Pd 0.491 0.491 0.724
Pd 0.509 0.509 0.276
Pd 0.694 0.694 0.036
Pd 0.830 0.830 0.578

The 10 most intense peaks (10° ≤ 2θ ≤ 90°), by intensity:
d = 2.498 Å, intensity 100
d = 2.440 Å, intensity 70
d = 2.462 Å, intensity 50
d = 2.006 Å, intensity 47
d = 2.107 Å, intensity 35
d = 2.338 Å, intensity 27
d = 1.453 Å, intensity 21
d = 2.906 Å, intensity 21
d = 1.359 Å, intensity 19
d = 2.944 Å, intensity 19

No. 3
Starting from DFT lattice parameters and positions (PBE), the PXRD pattern of PmHoGa2Au2 was computed for Cu Kα.

Cell and atoms:
Unit cell a=4.552 b=4.552 c=7.251 alpha=90.00 beta=90.00 gamma=120.00
Sites, in units of the cell vectors:
Pm 0.000 0.000 0.000
Ho 0.000 0.000 0.500
Ga 0.333 0.667 0.736
Ga 0.667 0.333 0.264
Au 0.333 0.667 0.269
Au 0.667 0.333 0.731

The 10 most intense peaks (10° ≤ 2θ ≤ 90°), by intensity:
d = 2.669 Å, intensity 100
d = 2.276 Å, intensity 70
d = 1.732 Å, intensity 28
d = 1.418 Å, intensity 28
d = 3.463 Å, intensity 26
d = 1.378 Å, intensity 26
d = 1.314 Å, intensity 12
d = 1.813 Å, intensity 10
d = 1.138 Å, intensity 8
d = 1.155 Å, intensity 7

No. 4
Starting from DFT lattice parameters and positions (PBE), the PXRD pattern of InSb2Pd8 was computed for Cu Kα.

Cell and atoms:
Unit cell a=4.748 b=5.943 c=7.718 alpha=111.25 beta=106.26 gamma=93.91
Sites, in units of the cell vectors:
In 0.000 0.000 0.000
Sb 0.316 0.368 0.679
Sb 0.636 0.689 0.320
Pd 0.147 0.575 0.000
Pd 0.158 0.434 0.341
Pd 0.167 0.939 0.382
Pd 0.359 0.853 0.755
Pd 0.605 0.100 0.246
Pd 0.641 0.336 0.000
Pd 0.785 0.558 0.618
Pd 0.817 0.092 0.658

The 10 most intense peaks (10° ≤ 2θ ≤ 90°), by intensity:
d = 2.251 Å, intensity 100
d = 2.148 Å, intensity 50
d = 2.369 Å, intensity 41
d = 2.265 Å, intensity 34
d = 2.358 Å, intensity 27
d = 2.401 Å, intensity 22
d = 2.470 Å, intensity 17
d = 2.237 Å, intensity 15
d = 1.943 Å, intensity 14
d = 2.717 Å, intensity 14

No. 5
Starting from DFT lattice parameters and positions (PBE), the PXRD pattern of Rb4H2AuCl was computed for Cu Kα.

Cell and atoms:
Unit cell a=7.973 b=4.544 c=8.020 alpha=90.00 beta=109.13 gamma=90.00
Sites, in units of the cell vectors:
Rb 0.229 0.000 0.219
Rb 0.251 0.500 0.774
Rb 0.749 0.500 0.226
Rb 0.771 0.000 0.781
H 0.000 0.500 0.000
H 0.500 0.000 0.000
Au 0.500 0.500 0.500
Cl 0.000 0.000 0.500

The 10 most intense peaks (10° ≤ 2θ ≤ 90°), by intensity:
d = 3.245 Å, intensity 100
d = 3.258 Å, intensity 51
d = 7.560 Å, intensity 48
d = 3.893 Å, intensity 44
d = 2.294 Å, intensity 39
d = 2.976 Å, intensity 35
d = 2.304 Å, intensity 35
d = 1.864 Å, intensity 20
d = 2.272 Å, intensity 19
d = 6.515 Å, intensity 19

No. 6
Starting from DFT lattice parameters and positions (PBE), the PXRD pattern of BaSr2P2O8 was computed for Cu Kα.

Cell and atoms:
Unit cell a=7.539 b=7.539 c=7.539 alpha=42.92 beta=42.92 gamma=42.92
Sites, in units of the cell vectors:
Ba 0.000 0.000 0.000
Sr 0.209 0.209 0.209
Sr 0.791 0.791 0.791
P 0.410 0.410 0.410
P 0.590 0.590 0.590
O 0.256 0.718 0.718
O 0.282 0.282 0.744
O 0.282 0.744 0.282
O 0.334 0.334 0.334
O 0.666 0.666 0.666
O 0.718 0.256 0.718
O 0.718 0.718 0.256
O 0.744 0.282 0.282

The 10 most intense peaks (10° ≤ 2θ ≤ 90°), by intensity:
d = 3.111 Å, intensity 100
d = 2.758 Å, intensity 90
d = 2.064 Å, intensity 43
d = 1.653 Å, intensity 27
d = 3.495 Å, intensity 23
d = 1.884 Å, intensity 20
d = 2.165 Å, intensity 20
d = 1.756 Å, intensity 20
d = 4.653 Å, intensity 17
d = 1.593 Å, intensity 16

No. 7
Starting from DFT lattice parameters and positions (PBE), the PXRD pattern of BaHo2CuO5 was computed for Cu Kα.

Cell and atoms:
Unit cell a=12.218 b=5.688 c=7.205 alpha=90.00 beta=90.00 gamma=90.00
Sites, in units of the cell vectors:
Ba 0.096 0.250 0.069
Ba 0.404 0.750 0.569
Ba 0.596 0.250 0.431
Ba 0.904 0.750 0.931
Ho 0.074 0.750 0.397
Ho 0.213 0.250 0.613
Ho 0.287 0.750 0.113
Ho 0.426 0.250 0.897
Ho 0.574 0.750 0.103
Ho 0.713 0.250 0.887
Ho 0.787 0.750 0.387
Ho 0.926 0.250 0.603
Cu 0.161 0.750 0.782
Cu 0.339 0.250 0.282
Cu 0.661 0.750 0.718
Cu 0.839 0.250 0.218
O 0.068 0.505 0.661
O 0.068 0.995 0.661
O 0.100 0.750 0.085
O 0.228 0.003 0.356
O 0.228 0.497 0.356
O 0.272 0.503 0.856
O 0.272 0.997 0.856
O 0.400 0.250 0.585
O 0.432 0.005 0.161
O 0.432 0.495 0.161
O 0.568 0.505 0.839
O 0.568 0.995 0.839
O 0.600 0.750 0.415
O 0.728 0.003 0.144
O 0.728 0.497 0.144
O 0.772 0.503 0.644
O 0.772 0.997 0.644
O 0.900 0.250 0.915
O 0.932 0.005 0.339
O 0.932 0.495 0.339

The 10 most intense peaks (10° ≤ 2θ ≤ 90°), by intensity:
d = 3.009 Å, intensity 100
d = 2.953 Å, intensity 62
d = 2.844 Å, intensity 46
d = 2.000 Å, intensity 29
d = 2.812 Å, intensity 21
d = 1.672 Å, intensity 18
d = 1.573 Å, intensity 16
d = 2.235 Å, intensity 15
d = 1.958 Å, intensity 15
d = 1.514 Å, intensity 14

No. 8
Starting from DFT lattice parameters and positions (PBE), the PXRD pattern of Dy4TlZnO was computed for Cu Kα.

Cell and atoms:
Unit cell a=8.525 b=8.525 c=6.567 alpha=90.00 beta=90.00 gamma=134.84
Sites, in units of the cell vectors:
Dy 0.000 0.500 0.000
Dy 0.000 0.500 0.500
Dy 0.067 0.933 0.750
Dy 0.419 0.581 0.750
Dy 0.500 0.000 0.000
Dy 0.500 0.000 0.500
Dy 0.581 0.419 0.250
Dy 0.933 0.067 0.250
Tl 0.389 0.611 0.250
Tl 0.611 0.389 0.750
Zn 0.121 0.879 0.250
Zn 0.879 0.121 0.750
O 0.256 0.744 0.750
O 0.744 0.256 0.250

The 10 most intense peaks (10° ≤ 2θ ≤ 90°), by intensity:
d = 3.026 Å, intensity 100
d = 2.519 Å, intensity 92
d = 2.318 Å, intensity 73
d = 1.737 Å, intensity 38
d = 2.624 Å, intensity 33
d = 2.605 Å, intensity 30
d = 3.278 Å, intensity 18
d = 1.732 Å, intensity 17
d = 1.637 Å, intensity 17
d = 1.375 Å, intensity 14